[1]
Starting from a crystal structure in Alexandria, relaxed with GGA-PBE, the XRD peak list of Ti3P4NO18 was calculated for λ = 1.5418 Å (Cu Kα).
Neutral-atom scattering factors, no anomalous dispersion.

Peak list (10 most intense, 10 to 90 degrees two-theta, sorted by position)
d [Å]  I_rel  h k l
8.316  100  0 0 1
8.039  46  0 1 0
5.127  19  1 0 0
5.074  42  0 1 1
4.021  92  1 -1 1
3.426  67  1 1 -2
3.259  63  0 2 1
3.133  24  1 -1 2
2.928  29  1 2 -2
2.566  21  2 0 0

Structural model:
```
data_Ti3P4NO18
_chemical_formula_sum 'Ti3 P4 N1 O18'
_cell_length_a 5.1650
_cell_length_b 8.4237
_cell_length_c 8.7602
_cell_angle_alpha 107.07
_cell_angle_beta 96.10
_cell_angle_gamma 91.34
_symmetry_space_group_name_H-M 'P -1'
_symmetry_Int_Tables_number 2
loop_
_symmetry_equiv_pos_as_xyz
'x,y,z'
'-x,-y,-z'
loop_
_atom_site_label
_atom_site_fract_x
_atom_site_fract_y
_atom_site_fract_z
Ti1 0.0000 0.0000 0.0000
Ti2 0.2538 0.7307 0.4317
P1 0.1887 0.3270 0.3388
P2 0.2724 0.1159 0.7084
N1 0.0000 0.5000 0.0000
O1 0.0663 0.2404 0.6892
O2 0.0685 0.6678 0.5868
O3 0.1547 0.1861 0.1749
O4 0.2256 0.0683 0.8624
O5 0.2484 0.9610 0.5620
O6 0.2506 0.4944 0.3088
O7 0.2688 0.8381 0.0198
O8 0.4132 0.2842 0.4463
O9 0.4512 0.7986 0.2707
```

=====

[2]
Starting from a crystal structure in Alexandria, relaxed with GGA-PBE, the XRD peak list of Y2ScP2 was calculated for λ = 1.5418 Å (Cu Kα).
Neutral-atom scattering factors, no anomalous dispersion.

Peak list (10 most intense, 10 to 90 degrees two-theta, sorted by position)
d [Å]  I_rel  h k l
3.295  25  2 1 0
3.122  17  1 1 1
2.678  15  2 0 1
2.517  100  2 1 1
2.330  36  3 1 0
1.950  13  0 0 2
1.624  14  4 1 1
1.495  17  3 1 2
1.291  16  5 2 1
1.209  9  2 1 3

Structural model:
```
data_Y2ScP2
_chemical_formula_sum 'Y4 Sc2 P4'
_cell_length_a 7.3675
_cell_length_b 7.3675
_cell_length_c 3.8999
_cell_angle_alpha 90.00
_cell_angle_beta 90.00
_cell_angle_gamma 90.00
_symmetry_space_group_name_H-M 'P 4/m b m'
_symmetry_Int_Tables_number 127
_symmetry_space_group_name_Hall '-P 4 2ab'
loop_
_atom_site_label
_atom_site_fract_x
_atom_site_fract_y
_atom_site_fract_z
Y1 0.1560 0.3440 0.0000
Sc1 0.0000 0.0000 0.5000
P1 0.1532 0.6532 0.5000
```

=====

[3]
Starting from a crystal structure in Alexandria, relaxed with GGA-PBE, the XRD peak list of LiCu5Si2 was calculated for λ = 1.5418 Å (Cu Kα).
Neutral-atom scattering factors, no anomalous dispersion.

Peak list (10 most intense, 10 to 90 degrees two-theta, sorted by position)
d [Å]  I_rel  h k l
6.066  80  0 1 1
3.908  35  0 2 0
2.166  99  1 2 1
2.067  61  1 0 3
2.048  100  0 2 4
1.954  39  0 4 0
1.876  25  1 3 0
1.420  27  1 4 3
1.169  19  1 2 7
1.128  26  2 2 4

Structural model:
```
data_LiCu5Si2
_chemical_formula_sum 'Li2 Cu10 Si4'
_cell_length_a 2.7036
_cell_length_b 7.8155
_cell_length_c 9.6217
_cell_angle_alpha 90.00
_cell_angle_beta 90.00
_cell_angle_gamma 90.00
_symmetry_space_group_name_H-M 'I m m m'
_symmetry_Int_Tables_number 71
_symmetry_space_group_name_Hall '-I 2 2'
loop_
_atom_site_label
_atom_site_fract_x
_atom_site_fract_y
_atom_site_fract_z
Li1 0.0000 0.0000 0.0000
Cu1 0.0000 0.2296 0.3664
Cu2 0.0000 0.5000 0.0000
Si1 0.0000 0.5000 0.2522
```

=====

[4]
Starting from a crystal structure in Alexandria, relaxed with GGA-PBE, the XRD peak list of NdZrAs2Rh5 was calculated for λ = 1.5418 Å (Cu Kα).
Neutral-atom scattering factors, no anomalous dispersion.

Peak list (10 most intense, 10 to 90 degrees two-theta, sorted by position)
d [Å]  I_rel  h k l
3.627  71  0 0 3
3.267  67  1 0 2
2.793  92  1 1 1
2.552  79  1 1 2
2.260  40  1 1 3
2.043  100  2 0 0
1.981  92  1 1 4
1.780  37  2 0 3
1.738  36  1 1 5
1.167  32  3 1 4

Structural model:
```
data_NdZrAs2Rh5
_chemical_formula_sum 'Nd1 Zr1 As2 Rh5'
_cell_length_a 4.0867
_cell_length_b 4.0867
_cell_length_c 10.8802
_cell_angle_alpha 90.00
_cell_angle_beta 90.00
_cell_angle_gamma 90.00
_symmetry_space_group_name_H-M 'P 4/m m m'
_symmetry_Int_Tables_number 123
_symmetry_space_group_name_Hall '-P 4 2'
loop_
_atom_site_label
_atom_site_fract_x
_atom_site_fract_y
_atom_site_fract_z
Nd1 0.0000 0.0000 0.0000
Zr1 0.0000 0.0000 0.5000
As1 0.5000 0.5000 0.2187
Rh1 0.0000 0.5000 0.3325
Rh2 0.5000 0.5000 0.0000
```